# 1
Diffraction record for In12BiPb7. The powder X-ray diffraction pattern is calculated, not measured: it uses a structure optimized by DFT (GGA-PBE) and λ = 1.5418 Å (Cu Kα).

Largest 10 diffraction maxima, most intense first, 2θ from 10° to 90°:
d = 2.864 Å, 31.23 deg, rel. 100, (2 -2 1); d = 2.720 Å, 32.93 deg, rel. 87, (2 1 1); d = 2.688 Å, 33.33 deg, rel. 83, (0 3 0); d = 2.738 Å, 32.71 deg, rel. 76, (-1 1 3); d = 2.839 Å, 31.51 deg, rel. 67, (1 2 -3); d = 2.294 Å, 39.28 deg, rel. 38, (1 -1 4); d = 2.318 Å, 38.85 deg, rel. 38, (3 0 -2); d = 3.219 Å, 27.71 deg, rel. 27, (0 0 3); d = 3.015 Å, 29.63 deg, rel. 23, (2 1 -2); d = 1.631 Å, 56.41 deg, rel. 18, (4 -1 2)

```
data_In12BiPb7
_space_group_name_H-M_alt 'P -1'
_space_group_IT_number 2
_cell_length_a 7.3286
_cell_length_b 8.5585
_cell_length_c 10.2934
_cell_angle_alpha 107.07
_cell_angle_beta 98.39
_cell_angle_gamma 96.68
loop_
_space_group_symop_operation_xyz
'x,y,z'
'-x,-y,-z'
loop_
_atom_site_label
_atom_site_type_symbol
_atom_site_fract_x
_atom_site_fract_y
_atom_site_fract_z
_atom_site_occupancy
In1 In 0.0192 0.1603 0.2949 1
In2 In 0.1342 0.8225 0.4176 1
In3 In 0.2766 0.8598 0.1547 1
In4 In 0.3195 0.4983 0.2857 1
In5 In 0.3851 0.8117 0.8653 1
In6 In 0.4594 0.1911 0.4173 1
Bi1 Bi 0.5000 0.5000 0.0000 1
Pb1 Pb 0.0000 0.5000 0.0000 1
Pb2 Pb 0.1761 0.1561 0.0042 1
Pb3 Pb 0.2018 0.4901 0.5946 1
Pb4 Pb 0.3094 0.1641 0.7009 1
```

---

# 2
Diffraction record for In5BiPb5. The powder X-ray diffraction pattern is calculated, not measured: it uses a structure optimized by DFT (GGA-PBE) and λ = 1.5418 Å (Cu Kα).

Largest 10 diffraction maxima, most intense first, 2θ from 10° to 90°:
d = 2.824 Å, 31.68 deg, rel. 100, (2 0 -1); d = 2.669 Å, 33.58 deg, rel. 94, (2 0 2); d = 2.678 Å, 33.46 deg, rel. 90, (2 2 1); d = 2.809 Å, 31.86 deg, rel. 88, (0 2 2); d = 2.783 Å, 32.16 deg, rel. 54, (0 2 -1); d = 2.549 Å, 35.21 deg, rel. 45, (0 0 3); d = 2.700 Å, 33.19 deg, rel. 43, (1 -2 0); d = 2.890 Å, 30.94 deg, rel. 35, (1 2 2); d = 5.334 Å, 16.62 deg, rel. 28, (1 0 1); d = 3.017 Å, 29.61 deg, rel. 27, (0 1 -2)

```
data_In5BiPb5
_space_group_name_H-M_alt 'P -1'
_space_group_IT_number 2
_cell_length_a 6.7192
_cell_length_b 6.8923
_cell_length_c 8.0094
_cell_angle_alpha 74.88
_cell_angle_beta 78.35
_cell_angle_gamma 76.00
loop_
_space_group_symop_operation_xyz
'x,y,z'
'-x,-y,-z'
loop_
_atom_site_label
_atom_site_type_symbol
_atom_site_fract_x
_atom_site_fract_y
_atom_site_fract_z
_atom_site_occupancy
In1 In 0.0000 0.0000 0.0000 1
In2 In 0.3996 0.1578 0.8122 1
In3 In 0.4107 0.7394 0.6091 1
Bi1 Bi 0.0000 0.5000 0.0000 1
Pb1 Pb 0.1416 0.6372 0.3411 1
Pb2 Pb 0.1495 0.1342 0.3350 1
Pb3 Pb 0.5000 0.5000 0.0000 1
```

---

# 3
Diffraction record for In6BiPb2. The powder X-ray diffraction pattern is calculated, not measured: it uses a structure optimized by DFT (GGA-PBE) and λ = 1.5418 Å (Cu Kα).

Largest 10 diffraction maxima, most intense first, 2θ from 10° to 90°:
d = 4.006 Å, 22.19 deg, rel. 100, (1 0 3); d = 2.659 Å, 33.70 deg, rel. 65, (1 1 6); d = 2.727 Å, 32.85 deg, rel. 38, (0 0 12); d = 2.778 Å, 32.22 deg, rel. 33, (1 0 9); d = 2.003 Å, 45.27 deg, rel. 29, (2 0 6); d = 1.897 Å, 47.96 deg, rel. 27, (2 1 3); d = 2.994 Å, 29.84 deg, rel. 27, (1 1 2); d = 2.443 Å, 36.78 deg, rel. 26, (1 1 8); d = 2.229 Å, 40.46 deg, rel. 23, (1 1 10); d = 2.854 Å, 31.34 deg, rel. 21, (1 1 4)

```
data_In6BiPb2
_space_group_name_H-M_alt 'I -4 2 m'
_space_group_IT_number 121
_space_group_name_Hall 'I -4 2'
_cell_length_a 4.3075
_cell_length_b 4.3075
_cell_length_c 32.7215
_cell_angle_alpha 90.00
_cell_angle_beta 90.00
_cell_angle_gamma 90.00
loop_
_atom_site_label
_atom_site_type_symbol
_atom_site_fract_x
_atom_site_fract_y
_atom_site_fract_z
_atom_site_occupancy
In1 In 0.0000 0.5000 0.2500 1
In2 In 0.2445 0.2445 0.0834 1
Bi1 Bi 0.0000 0.0000 0.5000 1
Pb1 Pb 0.0000 0.0000 0.1765 1
```

---

# 4
Diffraction record for InBi4Pb15. The powder X-ray diffraction pattern is calculated, not measured: it uses a structure optimized by DFT (GGA-PBE) and λ = 1.5418 Å (Cu Kα).

Largest 10 diffraction maxima, most intense first, 2θ from 10° to 90°:
d = 2.789 Å, 32.09 deg, rel. 100, (1 1 5); d = 2.858 Å, 31.30 deg, rel. 55, (2 0 0); d = 1.637 Å, 56.21 deg, rel. 42, (3 1 5); d = 2.021 Å, 44.85 deg, rel. 21, (2 2 0); d = 1.598 Å, 57.69 deg, rel. 18, (2 0 10); d = 1.395 Å, 67.11 deg, rel. 12, (2 2 10); d = 1.278 Å, 74.19 deg, rel. 10, (4 2 0); d = 1.272 Å, 74.62 deg, rel. 9, (3 3 5); d = 1.927 Å, 47.16 deg, rel. 8, (0 0 10); d = 1.224 Å, 78.05 deg, rel. 7, (1 1 15)

```
data_InBi4Pb15
_space_group_name_H-M_alt 'P 4/m m m'
_space_group_IT_number 123
_space_group_name_Hall '-P 4 2'
_cell_length_a 5.7161
_cell_length_b 5.7161
_cell_length_c 19.2715
_cell_angle_alpha 90.00
_cell_angle_beta 90.00
_cell_angle_gamma 90.00
loop_
_atom_site_label
_atom_site_type_symbol
_atom_site_fract_x
_atom_site_fract_y
_atom_site_fract_z
_atom_site_occupancy
In1 In 0.0000 0.0000 0.0000 1
Bi1 Bi 0.0000 0.0000 0.1882 1
Bi2 Bi 0.0000 0.0000 0.3950 1
Pb1 Pb 0.0000 0.5000 0.0979 1
Pb2 Pb 0.0000 0.5000 0.2979 1
Pb3 Pb 0.0000 0.5000 0.5000 1
Pb4 Pb 0.5000 0.5000 0.0000 1
Pb5 Pb 0.5000 0.5000 0.2055 1
Pb6 Pb 0.5000 0.5000 0.4035 1
```

---

# 5
Diffraction record for In6Bi5Pb. The powder X-ray diffraction pattern is calculated, not measured: it uses a structure optimized by DFT (GGA-PBE) and λ = 1.5418 Å (Cu Kα).

Largest 10 diffraction maxima, most intense first, 2θ from 10° to 90°:
d = 2.853 Å, 31.36 deg, rel. 100, (1 3 1); d = 2.824 Å, 31.68 deg, rel. 97, (3 3 -1); d = 2.673 Å, 33.53 deg, rel. 42, (4 0 0); d = 2.535 Å, 35.41 deg, rel. 36, (0 6 0); d = 1.839 Å, 49.56 deg, rel. 28, (4 6 0); d = 2.231 Å, 40.43 deg, rel. 25, (2 0 -2); d = 1.675 Å, 54.81 deg, rel. 21, (2 6 -2); d = 1.580 Å, 58.39 deg, rel. 19, (5 3 1); d = 1.566 Å, 58.99 deg, rel. 17, (7 3 -1); d = 5.345 Å, 16.58 deg, rel. 16, (2 0 0)

```
data_In6Bi5Pb
_space_group_name_H-M_alt 'C 1 2/m 1'
_space_group_IT_number 12
_cell_length_a 11.5249
_cell_length_b 15.2086
_cell_length_c 4.4628
_cell_angle_alpha 90.00
_cell_angle_beta 111.93
_cell_angle_gamma 90.00
loop_
_space_group_symop_operation_xyz
'x,y,z'
'-x,-y,-z'
'-x,y,-z'
'x,-y,z'
'x+1/2,y+1/2,z'
'-x+1/2,-y+1/2,-z'
'-x+1/2,y+1/2,-z'
'x+1/2,-y+1/2,z'
loop_
_atom_site_label
_atom_site_type_symbol
_atom_site_fract_x
_atom_site_fract_y
_atom_site_fract_z
_atom_site_occupancy
In1 In 0.2491 0.0000 0.2491 1
In2 In 0.2494 0.3344 0.2496 1
Bi1 Bi 0.0000 0.0000 0.5000 1
Bi2 Bi 0.0000 0.1663 0.0000 1
Bi3 Bi 0.0000 0.3311 0.5000 1
Pb1 Pb 0.0000 0.5000 0.0000 1
```

---

# 6
Diffraction record for In4Bi5Pb4. The powder X-ray diffraction pattern is calculated, not measured: it uses a structure optimized by DFT (GGA-PBE) and λ = 1.5418 Å (Cu Kα).

Largest 10 diffraction maxima, most intense first, 2θ from 10° to 90°:
d = 2.868 Å, 31.19 deg, rel. 100, (3 2 1); d = 2.477 Å, 36.27 deg, rel. 33, (1 5 0); d = 1.495 Å, 62.10 deg, rel. 28, (8 1 1); d = 1.759 Å, 51.99 deg, rel. 25, (1 5 2); d = 2.498 Å, 35.96 deg, rel. 17, (0 0 2); d = 1.504 Å, 61.68 deg, rel. 15, (3 2 3); d = 1.434 Å, 65.04 deg, rel. 12, (6 4 2); d = 1.141 Å, 85.01 deg, rel. 12, (8 1 3); d = 1.751 Å, 52.23 deg, rel. 12, (6 4 0); d = 1.109 Å, 88.03 deg, rel. 6, (2 10 2)

```
data_In4Bi5Pb4
_space_group_name_H-M_alt 'I 4/m'
_space_group_IT_number 87
_space_group_name_Hall '-I 4'
_cell_length_a 12.6290
_cell_length_b 12.6290
_cell_length_c 4.9955
_cell_angle_alpha 90.00
_cell_angle_beta 90.00
_cell_angle_gamma 90.00
loop_
_atom_site_label
_atom_site_type_symbol
_atom_site_fract_x
_atom_site_fract_y
_atom_site_fract_z
_atom_site_occupancy
In1 In 0.0758 0.3898 0.0000 1
Bi1 Bi 0.0000 0.0000 0.0000 1
Bi2 Bi 0.0403 0.1984 0.5000 1
Pb1 Pb 0.1500 0.7647 0.0000 1
```